1.
The following is a simulated XRD peak list of ReAu8. It was derived from a crystal structure in Alexandria, relaxed with GGA-PBE, using CuKα.
Lines closer than 0.1° are merged.

Structure:
Cell lengths 7.651, 7.651, 7.651 Å; angles 91.99, 91.99, 158.51 degrees
Fractional positions:
Re  0.000  0.000  0.000
Au  0.000  0.334  0.334
Au  0.000  0.666  0.666
Au  0.334  0.000  0.334
Au  0.337  0.337  0.675
Au  0.337  0.663  0.000
Au  0.663  0.337  0.000
Au  0.663  0.663  0.325
Au  0.666  0.000  0.666

The 5 most intense peaks (5° ≤ 2θ ≤ 70°), low angle first:
2θ/deg  I/Imax
35.84  700
40.60  1000
51.59  250
65.43  62
67.63  448


2.
The following is a simulated XRD peak list of TaVB3. It was derived from a crystal structure in Alexandria, relaxed with GGA-PBE, using CuKα.
Lines closer than 0.1° are merged.

Structure:
Cell lengths 9.549, 9.549, 3.056 Å; angles 90.00, 90.00, 160.66 degrees
Fractional positions:
Ta  0.073  0.927  0.750
Ta  0.927  0.073  0.250
V  0.205  0.795  0.250
V  0.795  0.205  0.750
B  0.327  0.673  0.250
B  0.378  0.622  0.750
B  0.476  0.524  0.750
B  0.524  0.476  0.250
B  0.622  0.378  0.250
B  0.673  0.327  0.750

The 10 most intense peaks (5° ≤ 2θ ≤ 70°), low angle first:
2θ/deg  I/Imax
9.39  924
28.21  806
28.44  345
30.76  325
35.01  808
38.24  251
43.36  1000
43.92  557
47.67  287
57.47  348


3.
The following is a simulated XRD peak list of PmDy4P5. It was derived from a crystal structure in Alexandria, relaxed with GGA-PBE, using CuKα.
Lines closer than 0.1° are merged.

Structure:
Cell lengths 10.666, 10.666, 10.666 Å; angles 158.20, 148.99, 38.23 degrees
Fractional positions:
Pm  0.000  0.000  0.000
Dy  0.201  0.201  0.000
Dy  0.399  0.399  0.000
Dy  0.601  0.601  0.000
Dy  0.799  0.799  0.000
P  0.103  0.603  0.500
P  0.300  0.800  0.500
P  0.500  0.000  0.500
P  0.700  0.200  0.500
P  0.897  0.397  0.500

The 6 most intense peaks (5° ≤ 2θ ≤ 70°), low angle first:
2θ/deg  I/Imax
27.08  861
31.37  1000
44.96  731
53.28  421
55.85  255
65.47  118